1.
Starting from a PBE-relaxed structure, the powder diffractogram of PbCN2 was computed for copper Kα.

Principal peaks in the range 15 to 90 degrees two-theta, low angle first:
17.4°, rel. 546; 21.4°, rel. 610; 23.8°, rel. 448; 28.7°, rel. 924; 31.4°, rel. 1000; 32.8°, rel. 263; 39.6°, rel. 377; 49.6°, rel. 359

abc: 5.596 3.925 12.421
angles: 90.00 90.00 90.00
Fractional coordinates of all 16 atoms:
Pb  0.117  0.250  0.129
Pb  0.383  0.750  0.629
Pb  0.617  0.250  0.371
Pb  0.883  0.750  0.871
C  0.119  0.750  0.400
C  0.381  0.250  0.900
C  0.619  0.750  0.100
C  0.881  0.250  0.600
N  0.080  0.250  0.641
N  0.174  0.250  0.938
N  0.326  0.750  0.438
N  0.420  0.750  0.141
N  0.580  0.250  0.859
N  0.674  0.250  0.562
N  0.826  0.750  0.062
N  0.920  0.750  0.359



2.
Starting from a PBE-relaxed structure, the powder diffractogram of Mg2BP2O10 was computed for copper Kα.

Principal peaks in the range 15 to 90 degrees two-theta, low angle first:
18.2°, rel. 415; 20.8°, rel. 341; 21.4°, rel. 520; 28.8°, rel. 1000; 29.4°, rel. 433; 30.0°, rel. 330; 30.8°, rel. 799; 32.3°, rel. 656

abc: 6.525 6.525 8.400
angles: 96.43 96.43 81.69
Fractional coordinates of all 30 atoms:
Mg  0.153  0.153  0.325
Mg  0.213  0.465  0.650
Mg  0.535  0.787  0.350
Mg  0.847  0.847  0.675
B  0.342  0.210  0.973
B  0.790  0.658  0.027
P  0.042  0.674  0.323
P  0.326  0.958  0.677
P  0.611  0.248  0.259
P  0.752  0.389  0.741
O  0.144  0.474  0.398
O  0.176  0.796  0.682
O  0.182  0.181  0.068
O  0.204  0.824  0.318
O  0.220  0.144  0.585
O  0.251  0.398  0.903
O  0.397  0.036  0.855
O  0.482  0.104  0.326
O  0.526  0.856  0.602
O  0.527  0.432  0.667
O  0.536  0.250  0.073
O  0.568  0.473  0.333
O  0.602  0.749  0.097
O  0.750  0.464  0.927
O  0.819  0.818  0.932
O  0.826  0.158  0.723
O  0.842  0.174  0.277
O  0.856  0.780  0.415
O  0.896  0.518  0.674
O  0.964  0.603  0.145



3.
Starting from a PBE-relaxed structure, the powder diffractogram of FeMo6Se8 was computed for copper Kα.

Principal peaks in the range 15 to 90 degrees two-theta, low angle first:
31.9°, rel. 319; 32.4°, rel. 550; 39.4°, rel. 926; 41.9°, rel. 637; 43.1°, rel. 304; 44.5°, rel. 1000; 49.9°, rel. 439; 58.1°, rel. 313

abc: 6.736 6.736 6.736
angles: 92.44 92.44 92.44
Fractional coordinates of all 15 atoms:
Fe  0.000  0.000  0.000
Mo  0.227  0.547  0.420
Mo  0.420  0.227  0.547
Mo  0.453  0.580  0.773
Mo  0.547  0.420  0.227
Mo  0.580  0.773  0.453
Mo  0.773  0.453  0.580
Se  0.127  0.364  0.748
Se  0.216  0.216  0.216
Se  0.252  0.873  0.636
Se  0.364  0.748  0.127
Se  0.636  0.252  0.873
Se  0.748  0.127  0.364
Se  0.784  0.784  0.784
Se  0.873  0.636  0.252



4.
Starting from a PBE-relaxed structure, the powder diffractogram of Mg16Al12Ag was computed for copper Kα.

Principal peaks in the range 15 to 90 degrees two-theta, low angle first:
20.7°, rel. 173; 36.3°, rel. 1000; 36.4°, rel. 820; 40.3°, rel. 195; 40.4°, rel. 184; 43.9°, rel. 160; 44.0°, rel. 150; 65.4°, rel. 188

abc: 9.062 9.062 9.085
angles: 109.47 109.47 109.13
Fractional coordinates of all 29 atoms:
Mg  0.000  0.000  0.000
Mg  0.000  0.401  0.026
Mg  0.003  0.653  0.347
Mg  0.003  0.687  0.743
Mg  0.005  0.005  0.347
Mg  0.287  0.599  0.943
Mg  0.312  0.312  0.051
Mg  0.322  0.710  0.657
Mg  0.364  0.364  0.683
Mg  0.401  0.000  0.026
Mg  0.409  0.678  0.349
Mg  0.599  0.287  0.943
Mg  0.653  0.003  0.347
Mg  0.678  0.409  0.349
Mg  0.687  0.003  0.743
Mg  0.710  0.322  0.657
Al  0.002  0.188  0.707
Al  0.179  0.362  0.336
Al  0.183  0.812  0.158
Al  0.188  0.002  0.707
Al  0.362  0.179  0.336
Al  0.368  0.998  0.525
Al  0.635  0.820  0.980
Al  0.637  0.637  0.165
Al  0.812  0.183  0.158
Al  0.818  0.818  0.526
Al  0.820  0.635  0.980
Al  0.998  0.368  0.525
Ag  0.644  0.644  0.665



5.
Starting from a PBE-relaxed structure, the powder diffractogram of NdMn6Ge6 was computed for copper Kα.

Principal peaks in the range 15 to 90 degrees two-theta, low angle first:
34.3°, rel. 751; 38.6°, rel. 377; 39.8°, rel. 485; 41.0°, rel. 1000; 45.8°, rel. 420; 66.0°, rel. 233; 72.3°, rel. 293; 79.3°, rel. 253

abc: 5.227 5.227 8.178
angles: 90.00 90.00 120.00
Fractional coordinates of all 13 atoms:
Nd  0.000  0.000  0.000
Mn  0.000  0.500  0.252
Mn  0.000  0.500  0.748
Mn  0.500  0.000  0.252
Mn  0.500  0.000  0.748
Mn  0.500  0.500  0.252
Mn  0.500  0.500  0.748
Ge  0.000  0.000  0.348
Ge  0.000  0.000  0.652
Ge  0.333  0.667  0.000
Ge  0.333  0.667  0.500
Ge  0.667  0.333  0.000
Ge  0.667  0.333  0.500